This entry pairs a crystal structure of MnNb3Mo2 with its computed XRD peak list. Radiation: λ = 1.5418 Å (Cu Kα). Structure: a structure optimized by DFT (PBE).
Neutral-atom scattering factors, no anomalous dispersion.

Cell and atoms:
Lattice parameters (Å, degrees): 7.128 7.128 6.374 90.00 90.00 143.11
Positions (direct):
Mn 0.167 0.833 0.000
Mn 0.833 0.167 0.000
Nb 0.000 0.000 0.246
Nb 0.000 0.000 0.754
Nb 0.331 0.669 0.244
Nb 0.331 0.669 0.756
Nb 0.669 0.331 0.244
Nb 0.669 0.331 0.756
Mo 0.167 0.833 0.500
Mo 0.500 0.500 0.000
Mo 0.500 0.500 0.500
Mo 0.833 0.167 0.500

Most intense lines, 10° ≤ 2θ ≤ 90°, by angle:
Position (°2θ)  d_spacing  Rel. int.
13.89  6.374  0.8
27.99  3.188  0.5
31.37  2.851  1.2
40.00  2.254  100.0
57.85  1.594  16.3
72.65  1.301  32.3
86.31  1.127  10.4

=====

This entry pairs a crystal structure of MnNi6Mo with its computed XRD peak list. Radiation: λ = 1.5418 Å (Cu Kα). Structure: a structure optimized by DFT (PBE).
Neutral-atom scattering factors, no anomalous dispersion.

Cell and atoms:
Lattice parameters (Å, degrees): 3.609 3.609 7.207 90.00 90.00 90.00
Positions (direct):
Mn 0.000 0.000 0.000
Ni 0.000 0.500 0.252
Ni 0.000 0.500 0.748
Ni 0.500 0.000 0.252
Ni 0.500 0.000 0.748
Ni 0.500 0.500 0.000
Ni 0.500 0.500 0.500
Mo 0.000 0.000 0.500

Most intense lines, 10° ≤ 2θ ≤ 90°, by angle:
Position (°2θ)  d_spacing  Rel. int.
12.28  7.207  3.8
24.68  3.607  0.7
27.64  3.227  2.0
37.39  2.405  0.9
43.45  2.083  100.0
50.61  1.804  46.7
52.28  1.750  0.9
74.39  1.275  27.3